Record 1
Pu2PaZn2Si2: computed PXRD pattern (Cu Kα (λ = 1.5418 Å)), based on a GGA-PBE-relaxed structure.
Intensities are scaled so that the largest is 100.

The 10 most intense peaks (10° ≤ 2θ ≤ 90°), in order of rising 2θ:
- 19.70°, d = 4.506 Å, I = 39
- 25.99°, d = 3.428 Å, I = 51
- 30.70°, d = 2.912 Å, I = 30
- 34.83°, d = 2.576 Å, I = 100
- 37.21°, d = 2.416 Å, I = 25
- 45.45°, d = 1.995 Å, I = 65
- 49.99°, d = 1.825 Å, I = 23
- 51.27°, d = 1.782 Å, I = 22
- 58.51°, d = 1.577 Å, I = 23
- 77.07°, d = 1.237 Å, I = 21

Cell and atoms:
```
data_Pu2PaZn2Si2
_chemical_formula_sum 'Pu2 Pa1 Zn2 Si2'
_cell_length_a 9.301
_cell_length_b 9.301
_cell_length_c 9.301
_cell_angle_alpha 24.78
_cell_angle_beta 24.78
_cell_angle_gamma 24.78
_space_group_name_H-M_alt 'P 1'
_space_group_IT_number 1
loop_
_space_group_symop_operation_xyz
'x,y,z'
loop_
_atom_site_label
_atom_site_fract_x
_atom_site_fract_y
_atom_site_fract_z
Pu1 0.150 0.150 0.150
Pu2 0.850 0.850 0.850
Pa1 0.000 0.000 0.000
Zn1 0.406 0.406 0.406
Zn2 0.594 0.594 0.594
Si1 0.258 0.258 0.258
Si2 0.742 0.742 0.742
```

Record 2
PuPa2Ta: computed PXRD pattern (Cu Kα (λ = 1.5418 Å)), based on a GGA-PBE-relaxed structure.
Intensities are scaled so that the largest is 100.

The 10 most intense peaks (10° ≤ 2θ ≤ 90°), in order of rising 2θ:
- 33.45°, d = 2.679 Å, I = 67
- 37.28°, d = 2.412 Å, I = 100
- 48.03°, d = 1.894 Å, I = 25
- 59.06°, d = 1.564 Å, I = 7
- 62.33°, d = 1.490 Å, I = 46
- 69.60°, d = 1.351 Å, I = 17
- 70.28°, d = 1.339 Å, I = 8
- 79.46°, d = 1.206 Å, I = 12
- 80.11°, d = 1.198 Å, I = 12
- 82.35°, d = 1.171 Å, I = 11

Cell and atoms:
```
data_PuPa2Ta
_chemical_formula_sum 'Pu1 Pa2 Ta1'
_cell_length_a 5.357
_cell_length_b 5.357
_cell_length_c 3.128
_cell_angle_alpha 90.00
_cell_angle_beta 90.00
_cell_angle_gamma 90.00
_space_group_name_H-M_alt 'P 1'
_space_group_IT_number 1
loop_
_space_group_symop_operation_xyz
'x,y,z'
loop_
_atom_site_label
_atom_site_fract_x
_atom_site_fract_y
_atom_site_fract_z
Pu1 0.000 0.000 0.000
Pa1 0.000 0.500 0.500
Pa2 0.500 0.000 0.500
Ta1 0.500 0.500 0.000
```

Record 3
PuPa4Tc5: computed PXRD pattern (Cu Kα (λ = 1.5418 Å)), based on a GGA-PBE-relaxed structure.
Intensities are scaled so that the largest is 100.

The 10 most intense peaks (10° ≤ 2θ ≤ 90°), in order of rising 2θ:
- 25.88°, d = 3.442 Å, I = 18
- 26.05°, d = 3.421 Å, I = 9
- 36.93°, d = 2.434 Å, I = 51
- 37.05°, d = 2.426 Å, I = 100
- 45.75°, d = 1.983 Å, I = 9
- 53.22°, d = 1.721 Å, I = 18
- 53.58°, d = 1.710 Å, I = 9
- 66.62°, d = 1.404 Å, I = 37
- 66.86°, d = 1.399 Å, I = 18
- 78.90°, d = 1.213 Å, I = 11

Cell and atoms:
```
data_PuPa4Tc5
_chemical_formula_sum 'Pu1 Pa4 Tc5'
_cell_length_a 3.442
_cell_length_b 3.442
_cell_length_c 17.103
_cell_angle_alpha 90.00
_cell_angle_beta 90.00
_cell_angle_gamma 90.00
_space_group_name_H-M_alt 'P 1'
_space_group_IT_number 1
loop_
_space_group_symop_operation_xyz
'x,y,z'
loop_
_atom_site_label
_atom_site_fract_x
_atom_site_fract_y
_atom_site_fract_z
Pu1 0.000 0.000 0.000
Pa1 0.000 0.000 0.197
Pa2 0.000 0.000 0.400
Pa3 0.000 0.000 0.600
Pa4 0.000 0.000 0.803
Tc1 0.500 0.500 0.107
Tc2 0.500 0.500 0.299
Tc3 0.500 0.500 0.500
Tc4 0.500 0.500 0.701
Tc5 0.500 0.500 0.893
```

Record 4
Pu2PaZn6: computed PXRD pattern (Cu Kα (λ = 1.5418 Å)), based on a GGA-PBE-relaxed structure.
Intensities are scaled so that the largest is 100.

The 10 most intense peaks (10° ≤ 2θ ≤ 90°), in order of rising 2θ:
- 21.68°, d = 4.099 Å, I = 55
- 37.78°, d = 2.381 Å, I = 100
- 38.03°, d = 2.366 Å, I = 76
- 44.20°, d = 2.049 Å, I = 9
- 54.68°, d = 1.678 Å, I = 35
- 59.69°, d = 1.549 Å, I = 8
- 68.54°, d = 1.369 Å, I = 35
- 68.71°, d = 1.366 Å, I = 13
- 76.57°, d = 1.244 Å, I = 19
- 81.32°, d = 1.183 Å, I = 8

Cell and atoms:
```
data_Pu2PaZn6
_chemical_formula_sum 'Pu2 Pa1 Zn6'
_cell_length_a 5.564
_cell_length_b 5.564
_cell_length_c 5.564
_cell_angle_alpha 94.89
_cell_angle_beta 94.89
_cell_angle_gamma 94.89
_space_group_name_H-M_alt 'P 1'
_space_group_IT_number 1
loop_
_space_group_symop_operation_xyz
'x,y,z'
loop_
_atom_site_label
_atom_site_fract_x
_atom_site_fract_y
_atom_site_fract_z
Pu1 0.174 0.174 0.174
Pu2 0.826 0.826 0.826
Pa1 0.500 0.500 0.500
Zn1 0.000 0.331 0.669
Zn2 0.000 0.669 0.331
Zn3 0.331 0.000 0.669
Zn4 0.331 0.669 0.000
Zn5 0.669 0.000 0.331
Zn6 0.669 0.331 0.000
```

Record 5
PuZr14Pa: computed PXRD pattern (Cu Kα (λ = 1.5418 Å)), based on a GGA-PBE-relaxed structure.
Intensities are scaled so that the largest is 100.

The 10 most intense peaks (10° ≤ 2θ ≤ 90°), in order of rising 2θ:
- 19.48°, d = 4.558 Å, I = 4
- 21.85°, d = 4.068 Å, I = 7
- 34.19°, d = 2.622 Å, I = 100
- 39.55°, d = 2.279 Å, I = 33
- 39.97°, d = 2.256 Å, I = 16
- 57.16°, d = 1.611 Å, I = 11
- 57.49°, d = 1.603 Å, I = 22
- 68.32°, d = 1.373 Å, I = 26
- 68.91°, d = 1.363 Å, I = 13
- 72.02°, d = 1.311 Å, I = 11

Cell and atoms:
```
data_PuZr14Pa
_chemical_formula_sum 'Pu1 Zr14 Pa1'
_cell_length_a 9.022
_cell_length_b 6.446
_cell_length_c 6.446
_cell_angle_alpha 89.98
_cell_angle_beta 90.00
_cell_angle_gamma 90.00
_space_group_name_H-M_alt 'P 1'
_space_group_IT_number 1
loop_
_space_group_symop_operation_xyz
'x,y,z'
loop_
_atom_site_label
_atom_site_fract_x
_atom_site_fract_y
_atom_site_fract_z
Pu1 0.000 0.000 0.000
Zr1 0.000 0.004 0.496
Zr2 0.000 0.496 0.004
Zr3 0.245 0.750 0.750
Zr4 0.249 0.250 0.750
Zr5 0.249 0.750 0.250
Zr6 0.253 0.250 0.250
Zr7 0.500 0.000 0.500
Zr8 0.500 0.500 0.000
Zr9 0.500 0.502 0.502
Zr10 0.500 0.998 0.998
Zr11 0.747 0.250 0.250
Zr12 0.751 0.250 0.750
Zr13 0.751 0.750 0.250
Zr14 0.755 0.750 0.750
Pa1 0.000 0.501 0.501
```

Record 6
PuZrPa: computed PXRD pattern (Cu Kα (λ = 1.5418 Å)), based on a GGA-PBE-relaxed structure.
Intensities are scaled so that the largest is 100.

The 10 most intense peaks (10° ≤ 2θ ≤ 90°), in order of rising 2θ:
- 11.01°, d = 8.034 Å, I = 100
- 31.98°, d = 2.798 Å, I = 30
- 32.77°, d = 2.733 Å, I = 23
- 33.59°, d = 2.668 Å, I = 51
- 34.30°, d = 2.614 Å, I = 26
- 34.87°, d = 2.573 Å, I = 47
- 35.81°, d = 2.507 Å, I = 41
- 36.76°, d = 2.445 Å, I = 21
- 41.74°, d = 2.164 Å, I = 18
- 50.21°, d = 1.817 Å, I = 19

Cell and atoms:
```
data_PuZrPa
_chemical_formula_sum 'Pu2 Zr2 Pa2'
_cell_length_a 3.368
_cell_length_b 4.867
_cell_length_c 8.216
_cell_angle_alpha 78.04
_cell_angle_beta 88.31
_cell_angle_gamma 88.96
_space_group_name_H-M_alt 'P 1'
_space_group_IT_number 1
loop_
_space_group_symop_operation_xyz
'x,y,z'
loop_
_atom_site_label
_atom_site_fract_x
_atom_site_fract_y
_atom_site_fract_z
Pu1 0.244 0.327 0.018
Pu2 0.756 0.673 0.982
Zr1 0.379 0.707 0.606
Zr2 0.621 0.293 0.394
Pa1 0.009 0.866 0.233
Pa2 0.991 0.134 0.767
```

Record 7
Pu2Zr2Pa3: computed PXRD pattern (Cu Kα (λ = 1.5418 Å)), based on a GGA-PBE-relaxed structure.
Intensities are scaled so that the largest is 100.

The 10 most intense peaks (10° ≤ 2θ ≤ 90°), in order of rising 2θ:
- 15.88°, d = 5.582 Å, I = 21
- 31.69°, d = 2.823 Å, I = 22
- 33.67°, d = 2.662 Å, I = 79
- 33.87°, d = 2.647 Å, I = 85
- 34.34°, d = 2.612 Å, I = 100
- 34.86°, d = 2.574 Å, I = 79
- 35.92°, d = 2.500 Å, I = 70
- 38.91°, d = 2.314 Å, I = 58
- 43.85°, d = 2.064 Å, I = 46
- 53.76°, d = 1.705 Å, I = 24

Cell and atoms:
```
data_Pu2Zr2Pa3
_chemical_formula_sum 'Pu2 Zr2 Pa3'
_cell_length_a 5.440
_cell_length_b 5.676
_cell_length_c 5.799
_cell_angle_alpha 93.40
_cell_angle_beta 108.14
_cell_angle_gamma 98.30
_space_group_name_H-M_alt 'P 1'
_space_group_IT_number 1
loop_
_space_group_symop_operation_xyz
'x,y,z'
loop_
_atom_site_label
_atom_site_fract_x
_atom_site_fract_y
_atom_site_fract_z
Pu1 0.026 0.295 0.169
Pu2 0.974 0.705 0.831
Zr1 0.394 0.449 0.719
Zr2 0.606 0.551 0.281
Pa1 0.201 0.887 0.401
Pa2 0.500 0.000 0.000
Pa3 0.799 0.113 0.599
```

Record 8
RbPa2S3: computed PXRD pattern (Cu Kα (λ = 1.5418 Å)), based on a GGA-PBE-relaxed structure.
Intensities are scaled so that the largest is 100.

The 10 most intense peaks (10° ≤ 2θ ≤ 90°), in order of rising 2θ:
- 14.47°, d = 6.122 Å, I = 43
- 25.19°, d = 3.535 Å, I = 100
- 28.07°, d = 3.178 Å, I = 47
- 35.02°, d = 2.562 Å, I = 54
- 38.07°, d = 2.363 Å, I = 46
- 44.39°, d = 2.041 Å, I = 23
- 46.21°, d = 1.965 Å, I = 25
- 51.05°, d = 1.789 Å, I = 19
- 51.72°, d = 1.767 Å, I = 23
- 55.87°, d = 1.646 Å, I = 24

Cell and atoms:
```
data_RbPa2S3
_chemical_formula_sum 'Rb2 Pa4 S6'
_cell_length_a 7.070
_cell_length_b 7.070
_cell_length_c 7.438
_cell_angle_alpha 90.00
_cell_angle_beta 90.00
_cell_angle_gamma 59.99
_space_group_name_H-M_alt 'P 1'
_space_group_IT_number 1
loop_
_space_group_symop_operation_xyz
'x,y,z'
loop_
_atom_site_label
_atom_site_fract_x
_atom_site_fract_y
_atom_site_fract_z
Rb1 0.001 0.999 0.750
Rb2 0.999 0.001 0.250
Pa1 0.333 0.333 0.000
Pa2 0.333 0.333 0.500
Pa3 0.667 0.667 0.000
Pa4 0.667 0.667 0.500
S1 0.000 0.499 0.750
S2 0.000 0.501 0.250
S3 0.499 0.000 0.250
S4 0.500 0.500 0.250
S5 0.500 0.500 0.750
S6 0.501 0.000 0.750
```

Record 9
Rb8PaS6: computed PXRD pattern (Cu Kα (λ = 1.5418 Å)), based on a GGA-PBE-relaxed structure.
Intensities are scaled so that the largest is 100.

The 10 most intense peaks (10° ≤ 2θ ≤ 90°), in order of rising 2θ:
- 11.51°, d = 7.688 Å, I = 33
- 13.04°, d = 6.790 Å, I = 26
- 21.51°, d = 4.132 Å, I = 28
- 21.98°, d = 4.043 Å, I = 67
- 22.53°, d = 3.946 Å, I = 48
- 23.14°, d = 3.844 Å, I = 100
- 26.25°, d = 3.395 Å, I = 30
- 27.11°, d = 3.289 Å, I = 30
- 32.95°, d = 2.718 Å, I = 26
- 37.85°, d = 2.377 Å, I = 35

Cell and atoms:
```
data_Rb8PaS6
_chemical_formula_sum 'Rb16 Pa2 S12'
_cell_length_a 9.417
_cell_length_b 9.798
_cell_length_c 13.314
_cell_angle_alpha 90.00
_cell_angle_beta 90.00
_cell_angle_gamma 90.00
_space_group_name_H-M_alt 'P 1'
_space_group_IT_number 1
loop_
_space_group_symop_operation_xyz
'x,y,z'
loop_
_atom_site_label
_atom_site_fract_x
_atom_site_fract_y
_atom_site_fract_z
Rb1 0.000 0.152 0.000
Rb2 0.000 0.202 0.462
Rb3 0.185 0.639 0.113
Rb4 0.196 0.593 0.797
Rb5 0.231 0.962 0.765
Rb6 0.269 0.038 0.265
Rb7 0.304 0.407 0.297
Rb8 0.315 0.361 0.613
Rb9 0.500 0.798 0.962
Rb10 0.500 0.848 0.500
Rb11 0.685 0.361 0.613
Rb12 0.696 0.407 0.297
Rb13 0.731 0.038 0.265
Rb14 0.769 0.962 0.765
Rb15 0.804 0.593 0.797
Rb16 0.815 0.639 0.113
Pa1 0.000 0.714 0.466
Pa2 0.500 0.286 0.966
S1 0.000 0.271 0.230
S2 0.000 0.497 0.582
S3 0.000 0.798 0.940
S4 0.000 0.922 0.584
S5 0.223 0.726 0.353
S6 0.277 0.274 0.853
S7 0.500 0.078 0.084
S8 0.500 0.202 0.440
S9 0.500 0.503 0.082
S10 0.500 0.729 0.730
S11 0.723 0.274 0.853
S12 0.777 0.726 0.353
```

Record 10
Rb2Pa3S6: computed PXRD pattern (Cu Kα (λ = 1.5418 Å)), based on a GGA-PBE-relaxed structure.
Intensities are scaled so that the largest is 100.

The 10 most intense peaks (10° ≤ 2θ ≤ 90°), in order of rising 2θ:
- 11.05°, d = 8.006 Å, I = 100
- 22.21°, d = 4.003 Å, I = 30
- 26.00°, d = 3.427 Å, I = 29
- 26.79°, d = 3.327 Å, I = 51
- 29.78°, d = 3.000 Å, I = 99
- 36.88°, d = 2.437 Å, I = 23
- 39.74°, d = 2.268 Å, I = 40
- 45.35°, d = 2.000 Å, I = 40
- 46.84°, d = 1.940 Å, I = 18
- 51.07°, d = 1.789 Å, I = 22

Cell and atoms:
```
data_Rb2Pa3S6
_chemical_formula_sum 'Rb2 Pa3 S6'
_cell_length_a 6.924
_cell_length_b 6.924
_cell_length_c 8.328
_cell_angle_alpha 97.91
_cell_angle_beta 97.91
_cell_angle_gamma 119.95
_space_group_name_H-M_alt 'P 1'
_space_group_IT_number 1
loop_
_space_group_symop_operation_xyz
'x,y,z'
loop_
_atom_site_label
_atom_site_fract_x
_atom_site_fract_y
_atom_site_fract_z
Rb1 0.167 0.833 0.000
Rb2 0.833 0.167 0.000
Pa1 0.000 0.000 0.500
Pa2 0.336 0.664 0.500
Pa3 0.664 0.336 0.500
S1 0.061 0.397 0.691
S2 0.267 0.267 0.306
S3 0.397 0.061 0.691
S4 0.603 0.939 0.309
S5 0.733 0.733 0.694
S6 0.939 0.603 0.309
```

Record 11
RbPaSi2S8: computed PXRD pattern (Cu Kα (λ = 1.5418 Å)), based on a GGA-PBE-relaxed structure.
Intensities are scaled so that the largest is 100.

The 10 most intense peaks (10° ≤ 2θ ≤ 90°), in order of rising 2θ:
- 10.27°, d = 8.613 Å, I = 74
- 15.49°, d = 5.722 Å, I = 60
- 16.24°, d = 5.457 Å, I = 77
- 18.24°, d = 4.865 Å, I = 100
- 20.67°, d = 4.298 Å, I = 40
- 22.42°, d = 3.966 Å, I = 84
- 25.18°, d = 3.537 Å, I = 40
- 28.98°, d = 3.081 Å, I = 52
- 30.31°, d = 2.949 Å, I = 38
- 32.78°, d = 2.732 Å, I = 96

Cell and atoms:
```
data_RbPaSi2S8
_chemical_formula_sum 'Rb1 Pa1 Si2 S8'
_cell_length_a 6.464
_cell_length_b 6.464
_cell_length_c 9.579
_cell_angle_alpha 111.49
_cell_angle_beta 111.49
_cell_angle_gamma 66.35
_space_group_name_H-M_alt 'P 1'
_space_group_IT_number 1
loop_
_space_group_symop_operation_xyz
'x,y,z'
loop_
_atom_site_label
_atom_site_fract_x
_atom_site_fract_y
_atom_site_fract_z
Rb1 0.000 0.000 0.000
Pa1 0.000 0.000 0.500
Si1 0.445 0.445 0.709
Si2 0.555 0.555 0.291
S1 0.189 0.671 0.274
S2 0.249 0.249 0.518
S3 0.329 0.811 0.726
S4 0.399 0.399 0.909
S5 0.601 0.601 0.091
S6 0.671 0.189 0.274
S7 0.751 0.751 0.482
S8 0.811 0.329 0.726
```

Record 12
RbSr2PaS5: computed PXRD pattern (Cu Kα (λ = 1.5418 Å)), based on a GGA-PBE-relaxed structure.
Intensities are scaled so that the largest is 100.

The 10 most intense peaks (10° ≤ 2θ ≤ 90°), in order of rising 2θ:
- 12.44°, d = 7.113 Å, I = 16
- 13.29°, d = 6.662 Å, I = 54
- 23.60°, d = 3.770 Å, I = 21
- 24.29°, d = 3.664 Å, I = 100
- 34.64°, d = 2.590 Å, I = 58
- 34.98°, d = 2.565 Å, I = 23
- 41.91°, d = 2.156 Å, I = 25
- 49.78°, d = 1.832 Å, I = 24
- 56.05°, d = 1.641 Å, I = 17
- 60.75°, d = 1.525 Å, I = 15

Cell and atoms:
```
data_RbSr2PaS5
_chemical_formula_sum 'Rb1 Sr2 Pa1 S5'
_cell_length_a 8.458
_cell_length_b 8.458
_cell_length_c 8.458
_cell_angle_alpha 144.28
_cell_angle_beta 127.06
_cell_angle_gamma 65.51
_space_group_name_H-M_alt 'P 1'
_space_group_IT_number 1
loop_
_space_group_symop_operation_xyz
'x,y,z'
loop_
_atom_site_label
_atom_site_fract_x
_atom_site_fract_y
_atom_site_fract_z
Rb1 0.000 0.000 0.000
Sr1 0.288 0.788 0.500
Sr2 0.712 0.212 0.500
Pa1 0.500 0.500 0.000
S1 0.129 0.362 0.767
S2 0.405 0.638 0.767
S3 0.500 0.000 0.500
S4 0.595 0.362 0.233
S5 0.871 0.638 0.233
```

Record 13
Rb2Tb2PaS6: computed PXRD pattern (Cu Kα (λ = 1.5418 Å)), based on a GGA-PBE-relaxed structure.
Intensities are scaled so that the largest is 100.

The 10 most intense peaks (10° ≤ 2θ ≤ 90°), in order of rising 2θ:
- 11.24°, d = 7.875 Å, I = 100
- 22.58°, d = 3.937 Å, I = 33
- 25.65°, d = 3.474 Å, I = 26
- 26.48°, d = 3.366 Å, I = 55
- 29.51°, d = 3.027 Å, I = 45
- 29.64°, d = 3.014 Å, I = 84
- 39.85°, d = 2.262 Å, I = 32
- 44.69°, d = 2.028 Å, I = 43
- 46.15°, d = 1.967 Å, I = 21
- 54.52°, d = 1.683 Å, I = 22

Cell and atoms:
```
data_Rb2Tb2PaS6
_chemical_formula_sum 'Rb2 Tb2 Pa1 S6'
_cell_length_a 7.019
_cell_length_b 7.019
_cell_length_c 8.226
_cell_angle_alpha 98.33
_cell_angle_beta 98.33
_cell_angle_gamma 119.87
_space_group_name_H-M_alt 'P 1'
_space_group_IT_number 1
loop_
_space_group_symop_operation_xyz
'x,y,z'
loop_
_atom_site_label
_atom_site_fract_x
_atom_site_fract_y
_atom_site_fract_z
Rb1 0.169 0.831 0.000
Rb2 0.831 0.169 0.000
Tb1 0.334 0.666 0.500
Tb2 0.666 0.334 0.500
Pa1 0.000 0.000 0.500
S1 0.061 0.391 0.687
S2 0.263 0.263 0.313
S3 0.391 0.061 0.687
S4 0.609 0.939 0.313
S5 0.737 0.737 0.687
S6 0.939 0.609 0.313
```